(1)
# Pr4MnSb9
Theoretical powder X-ray diffraction pattern, a wavelength of 1.5418 Å. Input: the PBE geometry in the Materials Project.
Lines closer than 0.1° are merged.

Largest 12 diffraction maxima, sorted by position, 10° ≤ 2θ ≤ 90°:
- 2θ = 28.5°, I 16
- 2θ = 29.1°, I 33
- 2θ = 29.6°, I 24
- 2θ = 30.3°, I 18
- 2θ = 31.6°, I 100
- 2θ = 31.7°, I 74
- 2θ = 33.5°, I 18
- 2θ = 34.6°, I 48
- 2θ = 36.3°, I 21
- 2θ = 41.1°, I 18
- 2θ = 42.7°, I 46
- 2θ = 71.3°, I 16

Crystal structure
a = 24.373 Å, b = 4.236 Å, c = 15.788 Å
α = 90.00°, β = 97.90°, γ = 90.00°
Space group C2/m (No. 12)
One atom of each set of equivalent atoms:
Pr: 0.059 0.000 0.319
Pr: 0.066 0.000 0.893
Pr: 0.113 0.000 0.642
Pr: 0.206 0.000 0.113
Mn: 0.230 0.500 0.375
Sb: 0.000 0.000 0.500
Sb: 0.000 0.500 0.000
Sb: 0.040 0.500 0.737
Sb: 0.072 0.000 0.114
Sb: 0.091 0.500 0.480
Sb: 0.142 0.500 0.229
Sb: 0.166 0.500 0.958
Sb: 0.192 0.000 0.834
Sb: 0.193 0.000 0.471
Sb: 0.218 0.500 0.694

(2)
# PrMnSi
Theoretical powder X-ray diffraction pattern, a wavelength of 1.5418 Å. Input: the PBE geometry in the Materials Project.
Lines closer than 0.1° are merged.

Largest 12 diffraction maxima, sorted by position, 10° ≤ 2θ ≤ 90°:
- 2θ = 25.2°, I 100
- 2θ = 31.8°, I 36
- 2θ = 32.5°, I 99
- 2θ = 33.9°, I 55
- 2θ = 35.2°, I 30
- 2θ = 39.7°, I 75
- 2θ = 45.5°, I 52
- 2θ = 52.7°, I 27
- 2θ = 53.1°, I 34
- 2θ = 57.0°, I 39
- 2θ = 58.8°, I 26
- 2θ = 72.5°, I 27

Crystal structure
a = 3.985 Å, b = 3.985 Å, c = 7.647 Å
α = 90.00°, β = 90.00°, γ = 90.00°
Space group P4/nmm (No. 129, origin choice 2)
One atom of each set of equivalent atoms:
Pr: 0.250 0.250 0.175
Mn: 0.250 0.750 0.500
Si: 0.250 0.250 0.680

(3)
# Pr2MnSi2
Theoretical powder X-ray diffraction pattern, a wavelength of 1.5418 Å. Input: the PBE geometry in the Materials Project.
Lines closer than 0.1° are merged.

Largest 12 diffraction maxima, sorted by position, 10° ≤ 2θ ≤ 90°:
- 2θ = 18.7°, I 47
- 2θ = 25.1°, I 35
- 2θ = 30.4°, I 100
- 2θ = 31.5°, I 18
- 2θ = 36.0°, I 37
- 2θ = 39.8°, I 41
- 2θ = 43.6°, I 37
- 2θ = 44.4°, I 28
- 2θ = 47.8°, I 17
- 2θ = 50.9°, I 20
- 2θ = 61.0°, I 17
- 2θ = 71.9°, I 16

Crystal structure
a = 2.936 Å, b = 2.936 Å, c = 14.207 Å
α = 90.00°, β = 90.00°, γ = 90.00°
Space group P4/mmm (No. 123)
One atom of each set of equivalent atoms:
Pr: 0.000 0.000 0.129
Mn: 0.000 0.000 0.500
Si: 0.000 0.000 0.337

(4)
# Pr2MnSn4
Theoretical powder X-ray diffraction pattern, a wavelength of 1.5418 Å. Input: the PBE geometry in the Materials Project.
Lines closer than 0.1° are merged.

Largest 12 diffraction maxima, sorted by position, 10° ≤ 2θ ≤ 90°:
- 2θ = 31.1°, I 15
- 2θ = 31.2°, I 100
- 2θ = 32.2°, I 10
- 2θ = 36.7°, I 13
- 2θ = 38.4°, I 21
- 2θ = 38.7°, I 21
- 2θ = 50.2°, I 8
- 2θ = 50.4°, I 8
- 2θ = 54.2°, I 9
- 2θ = 55.7°, I 14
- 2θ = 65.0°, I 13
- 2θ = 65.4°, I 12

Crystal structure
a = 4.653 Å, b = 4.689 Å, c = 17.281 Å
α = 90.00°, β = 90.00°, γ = 90.00°
Space group Amm2 (No. 38)
One atom of each set of equivalent atoms:
Pr: 0.000 0.000 0.000
Pr: 0.500 0.000 0.204
Mn: 0.000 0.000 0.797
Sn: 0.000 0.000 0.362
Sn: 0.000 0.000 0.647
Sn: 0.500 0.000 0.538
Sn: 0.500 0.000 0.860